1.
Starting from a DFT-relaxed cell (GGA-PBE, Alexandria), the powder diffractogram of Re4Pb4O13 was calculated for copper Kα.
No peak broadening, texture or thermal motion is included.

a = 10.5370 Å, b = 10.5370 Å, c = 10.5370 Å
α = 90.00°, β = 90.00°, γ = 90.00°
Space group F-43m (No. 216)
One atom of each set of equivalent atoms:
Re (0.1250, 0.1250, 0.1250) x16
Pb (0.1272, 0.1272, 0.6272) x16
O (0.0000, 0.0000, 0.1938) x24
O (0.0000, 0.0000, 0.5000) x4
O (0.0583, 0.2500, 0.2500) x24

Most intense lines, 10° ≤ 2θ ≤ 90°, in order of falling intensity:
2theta	d/Å	I (rel.)	index
29.4	3.042	100	2 2 2
58.1	1.589	45	6 2 2
48.9	1.863	42	4 4 0
34.0	2.634	41	4 0 0
79.3	1.209	19	6 6 2
81.7	1.178	17	8 4 0
60.9	1.521	13	4 4 4
71.6	1.317	7	8 0 0
37.2	2.417	1	3 3 1
44.7	2.028	1	5 1 1

2.
Starting from a DFT-relaxed cell (GGA-PBE, Alexandria), the powder diffractogram of Re6Pb5O19 was calculated for copper Kα.
No peak broadening, texture or thermal motion is included.

a = 9.3959 Å, b = 9.3996 Å, c = 13.1844 Å
α = 90.00°, β = 134.51°, γ = 90.00°
Space group P2/c (No. 13)
One atom of each set of equivalent atoms:
Re (0.0000, 0.1154, 0.2500) x2
Re (0.0000, 0.3822, 0.2500) x2
Re (0.1334, 0.2550, 0.8835) x4
Re (0.3735, 0.2493, 0.2569) x4
Pb (0.0000, 0.0000, 0.0000) x2
Pb (0.2175, 0.4074, 0.6121) x4
Pb (0.4953, 0.1200, 0.5989) x4
O (0.1347, 0.4614, 0.8910) x4
O (0.1417, 0.0410, 0.8946) x4
O (0.1475, 0.2498, 0.0420) x4
O (0.1644, 0.2469, 0.4195) x4
O (0.1667, 0.2519, 0.7471) x4
O (0.2096, 0.3881, 0.2503) x4
O (0.2141, 0.1030, 0.2532) x4
O (0.4284, 0.2488, 0.0365) x4
O (0.5000, 0.0810, 0.2500) x2
O (0.5000, 0.2575, 0.7500) x2
O (0.5000, 0.4192, 0.2500) x2

Most intense lines, 10° ≤ 2θ ≤ 90°, in order of falling intensity:
2theta	d/Å	I (rel.)	index
30.1	2.973	100	0 1 3
49.3	1.847	38	1 4 2
30.2	2.957	35	3 0 -4
28.6	3.122	26	1 2 -3
49.6	1.839	24	4 3 -5
28.3	3.156	22	2 1 0
28.4	3.144	21	2 2 -1
35.8	2.505	21	1 2 -4
35.6	2.519	20	2 3 -1
26.8	3.323	18	2 2 -2

3.
Starting from a DFT-relaxed cell (GGA-PBE, Alexandria), the powder diffractogram of SrRePb2O6 was calculated for copper Kα.
No peak broadening, texture or thermal motion is included.

a = 5.6978 Å, b = 6.4075 Å, c = 10.2580 Å
α = 90.00°, β = 122.46°, γ = 90.00°
Space group P2_1/c (No. 14)
One atom of each set of equivalent atoms:
Sr (0.0000, 0.0000, 0.0000) x2
Re (0.5000, 0.0000, 0.5000) x2
Pb (0.2256, 0.0530, 0.7224) x4
O (0.1815, 0.1561, 0.4822) x4
O (0.2836, 0.7440, 0.9444) x4
O (0.3666, 0.0548, 0.2794) x4

Most intense lines, 10° ≤ 2θ ≤ 90°, in order of falling intensity:
2theta	d/Å	I (rel.)	index
29.7	3.009	100	1 1 -3
29.2	3.060	94	1 1 1
27.8	3.204	47	0 2 0
31.4	2.848	45	2 0 -2
42.5	2.129	37	2 2 -2
17.2	5.150	32	0 1 1
54.2	1.691	21	3 1 -1
41.7	2.164	20	0 0 4
55.1	1.666	19	3 1 -5
50.9	1.793	15	0 2 4

4.
Starting from a DFT-relaxed cell (GGA-PBE, Alexandria), the powder diffractogram of TiRePbO6 was calculated for copper Kα.
No peak broadening, texture or thermal motion is included.

a = 7.2089 Å, b = 7.2276 Å, c = 10.5718 Å
α = 90.00°, β = 90.00°, γ = 90.00°
Space group Imma (No. 74)
One atom of each set of equivalent atoms:
Ti (0.2500, 0.2500, 0.2500) x4
Re (0.0000, 0.0000, 0.0000) x4
Pb (0.0000, 0.2500, 0.5197) x4
O (0.0000, 0.2500, 0.3079) x4
O (0.0000, 0.2500, 0.9404) x4
O (0.1903, 0.0651, 0.1169) x16

Most intense lines, 10° ≤ 2θ ≤ 90°, in order of falling intensity:
2theta	d/Å	I (rel.)	index
28.9	3.089	100	1 2 1
16.8	5.286	66	0 0 2
30.0	2.978	52	2 0 2
37.8	2.381	38	1 2 3
24.7	3.605	25	2 0 0
46.2	1.966	22	3 2 1
51.7	1.769	20	1 2 5
52.6	1.740	18	3 2 3
42.4	2.131	16	2 0 4
59.9	1.545	15	2 4 2